Computed X-ray powder pattern of SmZnAu2 for Cu Kα (λ = 1.5418 Å), from the PBE geometry in the Materials Project.
Kinematic intensities with the Lorentz-polarization factor, no thermal factor.

Crystal structure
```
data_SmZnAu2
_cell_length_a 6.948
_cell_length_b 6.948
_cell_length_c 6.948
_cell_angle_alpha 90.00
_cell_angle_beta 90.00
_cell_angle_gamma 90.00
_space_group_name_H-M_alt 'F m -3 m'
_space_group_IT_number 225
_space_group_name_Hall '-F 4 2 3'
loop_
_atom_site_label
_atom_site_type_symbol
_atom_site_fract_x
_atom_site_fract_y
_atom_site_fract_z
Sm1 Sm 0.000 0.000 0.000
Zn1 Zn 0.000 0.000 0.500
Au1 Au 0.250 0.250 0.250
```

Principal peaks in the range 15° ≤ 2θ ≤ 90°, in order of rising 2θ:
d [Å], I_rel, (hkl)
4.011, 4, 1 1 1
3.474, 10, 2 0 0
2.456, 100, 2 2 0
2.095, 2, 3 1 1
2.006, 3, 2 2 2
1.737, 18, 4 0 0
1.594, 1, 3 3 1
1.554, 4, 4 2 0
1.418, 36, 4 2 2
1.228, 11, 4 4 0
1.158, 2, 6 0 0
1.099, 17, 6 2 0